Mg6NbZn: calculated X-ray powder pattern (Cu Ka), based on a DFT-relaxed cell (GGA-PBE, the Materials Project).
Kinematic intensities with the Lorentz-polarization factor, no thermal factor.

The 10 most intense peaks (2θ from 15° to 90°), by angle:
16.41 deg, intensity 55.7, (0 1 1)
24.65 deg, intensity 16.7, (1 0 2)
33.18 deg, intensity 25.8, (0 2 2)
34.15 deg, intensity 15.2, (1 1 3)
37.04 deg, intensity 24.7, (2 0 0)
38.13 deg, intensity 100.0, (1 0 4)
48.33 deg, intensity 11.9, (1 2 4)
50.57 deg, intensity 16.1, (2 2 2)
59.20 deg, intensity 12.9, (0 2 6)
67.47 deg, intensity 17.3, (3 0 4)

Structure:
Cell: 4.854 6.226 10.823 Å, 90.00 90.00 90.00°
Space group Amm2 (No. 38)
Inequivalent atoms, fractional coordinates:
Mg1 0.000 0.000 0.000 x2
Mg2 0.000 0.241 0.255 x4
Mg3 0.500 0.000 0.834 x2
Mg4 0.500 0.244 0.586 x4
Nb1 0.500 0.000 0.341 x2
Zn1 0.000 0.000 0.484 x2


NdMg2: calculated X-ray powder pattern (Cu Ka), based on a DFT-relaxed cell (GGA-PBE, the Materials Project).
Kinematic intensities with the Lorentz-polarization factor, no thermal factor.

The 10 most intense peaks (2θ from 15° to 90°), by angle:
17.70 deg, intensity 59.2, (1 1 1)
29.10 deg, intensity 98.0, (2 2 0)
34.26 deg, intensity 100.0, (3 1 1)
45.55 deg, intensity 16.2, (3 3 1)
51.58 deg, intensity 39.9, (4 2 2)
54.96 deg, intensity 34.1, (5 1 1)
60.31 deg, intensity 22.5, (4 4 0)
68.34 deg, intensity 17.1, (6 2 0)
83.30 deg, intensity 20.0, (6 4 2)
86.02 deg, intensity 21.2, (7 3 1)

Structure:
Cell: 8.681 8.681 8.681 Å, 90.00 90.00 90.00°
Space group Fd-3m (No. 227, origin choice 2)
Inequivalent atoms, fractional coordinates:
Nd1 0.125 0.125 0.125 x8
Mg1 0.000 0.000 0.500 x16


Nd5Mg41: calculated X-ray powder pattern (Cu Ka), based on a DFT-relaxed cell (GGA-PBE, the Materials Project).
Kinematic intensities with the Lorentz-polarization factor, no thermal factor.

The 10 most intense peaks (2θ from 15° to 90°), by angle:
15.93 deg, intensity 100.0, (1 2 1)
16.96 deg, intensity 27.8, (0 0 2)
19.10 deg, intensity 39.3, (3 1 0)
25.66 deg, intensity 47.4, (3 1 2)
29.01 deg, intensity 61.8, (1 2 3)
31.62 deg, intensity 61.4, (5 0 1)
32.18 deg, intensity 69.5, (2 4 2)
35.61 deg, intensity 75.9, (3 5 0)
36.05 deg, intensity 53.4, (4 1 3)
57.05 deg, intensity 25.7, (4 7 3)

Structure:
Cell: 14.694 14.694 10.453 Å, 90.00 90.00 90.00°
Space group I4/m (No. 87)
Inequivalent atoms, fractional coordinates:
Nd1 0.000 0.000 0.000 x2
Nd2 0.071 0.736 0.500 x8
Mg1 0.000 0.000 0.500 x2
Mg2 0.009 0.597 0.000 x8
Mg3 0.061 0.773 0.147 x16
Mg4 0.077 0.136 0.310 x16
Mg5 0.077 0.367 0.258 x16
Mg6 0.122 0.222 0.000 x8
Mg7 0.159 0.283 0.500 x8
Mg8 0.250 0.250 0.250 x8


Nd4MgNi: calculated X-ray powder pattern (Cu Ka), based on a DFT-relaxed cell (GGA-PBE, the Materials Project).
Kinematic intensities with the Lorentz-polarization factor, no thermal factor.

The 10 most intense peaks (2θ from 15° to 90°), by angle:
27.81 deg, intensity 53.4, (3 3 1)
31.34 deg, intensity 63.5, (4 2 2)
33.29 deg, intensity 100.0, (5 1 1)
36.34 deg, intensity 29.6, (4 4 0)
53.65 deg, intensity 18.7, (7 3 3)
55.78 deg, intensity 58.0, (6 6 0)
57.03 deg, intensity 14.3, (5 5 5)
66.53 deg, intensity 13.2, (9 3 3)
83.88 deg, intensity 17.1, (11 5 1)
85.63 deg, intensity 16.1, (10 6 4)

Structure:
Cell: 13.984 13.984 13.984 Å, 90.00 90.00 90.00°
Space group F-43m (No. 216)
Inequivalent atoms, fractional coordinates:
Nd1 0.000 0.000 0.185 x24
Nd2 0.061 0.250 0.750 x24
Nd3 0.095 0.095 0.405 x16
Mg1 0.171 0.171 0.171 x16
Ni1 0.108 0.108 0.608 x16


NdMg2Ni9: calculated X-ray powder pattern (Cu Ka), based on a DFT-relaxed cell (GGA-PBE, the Materials Project).
Kinematic intensities with the Lorentz-polarization factor, no thermal factor.

The 10 most intense peaks (2θ from 15° to 90°), by angle:
25.94 deg, intensity 24.0, (1 0 4)
36.80 deg, intensity 21.9, (1 1 0)
37.21 deg, intensity 16.6, (0 1 8)
42.94 deg, intensity 30.2, (0 2 1)
43.48 deg, intensity 20.3, (2 0 2)
43.65 deg, intensity 100.0, (1 1 6)
46.26 deg, intensity 28.6, (0 0 12)
47.10 deg, intensity 18.1, (2 0 5)
71.04 deg, intensity 21.7, (0 3 6)
78.30 deg, intensity 19.3, (2 2 0)

Structure:
Cell: 4.8841 4.8841 23.5514 Å, 90.00 90.00 120.00°
Space group R-3m (No. 166, hexagonal axes)
Inequivalent atoms, fractional coordinates:
Nd1 0.0000 0.0000 0.0000 x3
Mg1 0.0000 0.0000 0.1445 x6
Ni1 0.0000 0.0000 0.3334 x6
Ni2 0.0000 0.0000 0.5000 x3
Ni3 0.0024 0.5012 0.9148 x18


NdMg5Ni: calculated X-ray powder pattern (Cu Ka), based on a DFT-relaxed cell (GGA-PBE, the Materials Project).
Kinematic intensities with the Lorentz-polarization factor, no thermal factor.

The 10 most intense peaks (2θ from 15° to 90°), by angle:
23.09 deg, intensity 18.8, (1 1 0)
24.90 deg, intensity 21.6, (0 0 4)
26.28 deg, intensity 29.6, (1 1 2)
34.23 deg, intensity 100.0, (1 1 4)
35.80 deg, intensity 14.6, (0 2 5)
35.99 deg, intensity 38.7, (1 3 2)
36.70 deg, intensity 19.6, (0 4 2)
42.32 deg, intensity 13.9, (1 3 4)
43.68 deg, intensity 18.1, (2 0 0)
56.77 deg, intensity 15.2, (1 3 7)

Structure:
Cell: 4.145 10.425 14.304 Å, 90.00 90.00 90.00°
Space group Cmcm (No. 63)
Inequivalent atoms, fractional coordinates:
Nd1 0.000 0.115 0.250 x4
Mg1 0.000 0.000 0.000 x4
Mg2 0.000 0.294 0.574 x8
Mg3 0.000 0.401 0.142 x8
Ni1 0.000 0.184 0.750 x4


NdMgO3: calculated X-ray powder pattern (Cu Ka), based on a DFT-relaxed cell (GGA-PBE, the Materials Project).
Kinematic intensities with the Lorentz-polarization factor, no thermal factor.

The 10 most intense peaks (2θ from 15° to 90°), by angle:
22.75 deg, intensity 51.9, (1 0 0)
32.39 deg, intensity 100.0, (1 1 0)
39.95 deg, intensity 44.6, (1 1 1)
46.46 deg, intensity 36.1, (2 0 0)
52.34 deg, intensity 24.3, (2 1 0)
57.78 deg, intensity 39.7, (2 1 1)
67.81 deg, intensity 21.4, (2 2 0)
72.55 deg, intensity 12.1, (3 0 0)
77.17 deg, intensity 17.2, (3 1 0)
81.71 deg, intensity 14.4, (3 1 1)

Structure:
Cell: 3.909 3.909 3.909 Å, 90.00 90.00 90.00°
Space group Pm-3m (No. 221)
Inequivalent atoms, fractional coordinates:
Nd1 0.000 0.000 0.000 x1
Mg1 0.500 0.500 0.500 x1
O1 0.000 0.500 0.500 x3


Nd4MgRh4O12: calculated X-ray powder pattern (Cu Ka), based on a DFT-relaxed cell (GGA-PBE, the Materials Project).
Kinematic intensities with the Lorentz-polarization factor, no thermal factor.

The 10 most intense peaks (2θ from 15° to 90°), by angle:
23.82 deg, intensity 27.9, (1 1 -1)
24.86 deg, intensity 32.1, (1 1 1)
27.74 deg, intensity 29.3, (0 0 2)
30.21 deg, intensity 42.1, (0 1 2)
31.54 deg, intensity 100.0, (1 2 -1)
32.35 deg, intensity 99.8, (1 2 1)
32.56 deg, intensity 51.8, (2 0 0)
46.19 deg, intensity 29.4, (2 1 2)
48.24 deg, intensity 31.4, (0 4 0)
59.41 deg, intensity 22.5, (2 4 0)

Structure:
Cell: 5.508 7.547 6.442 Å, 90.00 93.19 90.00°
Space group Pm (No. 6)
Inequivalent atoms, fractional coordinates:
Nd1 0.000 0.000 0.000 x1
Nd2 0.078 0.500 0.765 x1
Nd3 0.520 0.500 0.256 x1
Nd4 0.617 0.000 0.442 x1
Mg1 0.136 0.000 0.607 x1
Rh1 0.064 0.263 0.343 x2
Rh2 0.556 0.250 0.856 x2
O1 0.209 0.000 0.317 x1
O2 0.248 0.303 0.026 x2
O3 0.392 0.294 0.542 x2
O4 0.410 0.000 0.804 x1
O5 0.696 0.500 0.912 x1
O6 0.726 0.200 0.164 x2
O7 0.886 0.185 0.684 x2
O8 0.924 0.500 0.402 x1